Entry 1:
Calculated PXRD pattern
Compound: HfAu3
Radiation: a wavelength of 1.5418 Å
Structure: a cell relaxed with PBE
No peak broadening, texture or thermal motion is included.

Principal peaks in the range 2θ from 10° to 90°, by angle:
34.48°, I 29.9
36.87°, I 42.2
39.25°, I 100.0
40.76°, I 53.4
51.36°, I 19.6
60.66°, I 10.1
63.95°, I 16.7
68.01°, I 20.3
69.05°, I 11.5
73.14°, I 11.8
75.68°, I 17.9
76.16°, I 20.5

```
8
Lattice="4.876 0.000 0.000 0.000 6.106 0.000 0.000 0.000 4.969" Properties=species:S:1:pos:R:3 pbc="T T T"
Hf 1.219 1.527 0.784
Hf 3.657 4.580 4.185
Au 1.219 3.060 3.286
Au 1.219 4.580 0.759
Au 1.219 6.099 3.286
Au 3.657 0.007 1.683
Au 3.657 1.527 4.210
Au 3.657 3.046 1.683
```

---

Entry 2:
Calculated PXRD pattern
Compound: HgAu3
Radiation: a wavelength of 1.5418 Å
Structure: a cell relaxed with PBE
No peak broadening, texture or thermal motion is included.

Principal peaks in the range 2θ from 10° to 90°, by angle:
34.36°, I 23.7
36.96°, I 26.0
39.17°, I 100.0
51.35°, I 15.4
61.53°, I 18.0
68.08°, I 20.1
72.41°, I 2.8
74.00°, I 21.3
75.41°, I 15.2
78.70°, I 3.0
84.19°, I 3.9
88.76°, I 3.6

```
8
Lattice="6.028 0.000 0.000 -3.014 5.221 0.000 0.000 0.000 4.864" Properties=species:S:1:pos:R:3 pbc="T T T"
Hg 0.000 3.480 1.216
Hg 3.014 1.740 3.648
Au 0.000 1.724 3.648
Au -1.521 4.359 3.648
Au 1.493 0.862 1.216
Au 1.521 4.359 3.648
Au 4.536 0.862 1.216
Au 3.014 3.497 1.216
```

---

Entry 3:
Calculated PXRD pattern
Compound: Hg3Au
Radiation: a wavelength of 1.5418 Å
Structure: a cell relaxed with PBE
No peak broadening, texture or thermal motion is included.

Principal peaks in the range 2θ from 10° to 90°, by angle:
28.62°, I 45.7
34.84°, I 20.7
37.79°, I 100.0
45.69°, I 19.7
56.92°, I 31.0
59.26°, I 6.1
62.46°, I 15.7
70.11°, I 22.5
70.62°, I 5.5
75.37°, I 13.9
86.74°, I 10.1
89.53°, I 9.6

```
8
Lattice="5.948 0.000 0.000 -2.974 5.151 0.000 0.000 0.000 6.237" Properties=species:S:1:pos:R:3 pbc="T T T"
Hg 0.000 1.725 1.559
Hg -1.480 4.288 1.559
Hg 1.494 0.862 4.678
Hg 1.480 4.288 1.559
Hg 4.454 0.862 4.678
Hg 2.974 3.426 4.678
Au 0.000 3.434 4.678
Au 2.974 1.717 1.559
```

---

Entry 4:
Calculated PXRD pattern
Compound: Hg3Au
Radiation: a wavelength of 1.5418 Å
Structure: a cell relaxed with PBE
No peak broadening, texture or thermal motion is included.

Principal peaks in the range 2θ from 10° to 90°, by angle:
34.41°, I 100.0
39.95°, I 50.3
57.77°, I 34.7
69.01°, I 41.2
72.55°, I 12.0
86.18°, I 6.0

```
4
Lattice="4.514 0.000 0.000 0.000 4.514 0.000 0.000 0.000 4.514" Properties=species:S:1:pos:R:3 pbc="T T T"
Hg 0.000 0.000 2.257
Hg 0.000 2.257 0.000
Hg 2.257 0.000 0.000
Au 2.257 2.257 2.257
```

---

Entry 5:
Calculated PXRD pattern
Compound: HgAu3
Radiation: a wavelength of 1.5418 Å
Structure: a cell relaxed with PBE
No peak broadening, texture or thermal motion is included.

Principal peaks in the range 2θ from 10° to 90°, by angle:
33.83°, I 24.2
37.47°, I 24.0
38.82°, I 100.0
51.37°, I 14.8
60.53°, I 18.6
68.51°, I 18.3
71.18°, I 2.9
73.40°, I 20.9
74.27°, I 15.5
79.95°, I 2.6
83.32°, I 3.8
89.70°, I 3.1

```
4
Lattice="3.059 0.000 0.000 -1.530 2.649 0.000 0.000 0.000 9.600" Properties=species:S:1:pos:R:3 pbc="T T T"
Hg 0.000 0.000 0.000
Au 0.000 0.000 4.800
Au 1.530 0.883 2.488
Au 1.530 0.883 7.112
```

---

Entry 6:
Calculated PXRD pattern
Compound: Li2HgAu
Radiation: a wavelength of 1.5418 Å
Structure: a cell relaxed with PBE
No peak broadening, texture or thermal motion is included.

Principal peaks in the range 2θ from 10° to 90°, by angle:
27.63°, I 100.0
39.47°, I 87.9
48.85°, I 28.9
57.04°, I 15.2
64.53°, I 38.2
71.58°, I 31.4
84.95°, I 10.3

```
4
Lattice="0.000 3.229 3.229 3.229 0.000 3.229 3.229 3.229 0.000" Properties=species:S:1:pos:R:3 pbc="T T T"
Li 1.614 1.614 1.614
Li 4.843 4.843 4.843
Hg 0.000 0.000 0.000
Au 3.229 3.229 3.229
```

---

Entry 7:
Calculated PXRD pattern
Compound: Mg4HgAu
Radiation: a wavelength of 1.5418 Å
Structure: a cell relaxed with PBE
No peak broadening, texture or thermal motion is included.

Principal peaks in the range 2θ from 10° to 90°, by angle:
21.65°, I 64.3
25.19°, I 100.0
26.29°, I 90.8
29.73°, I 35.7
36.38°, I 53.6
37.08°, I 57.8
38.73°, I 34.1
39.45°, I 34.0
46.77°, I 39.7
47.67°, I 27.1
49.58°, I 17.8
51.72°, I 18.1

```
12
Lattice="4.650 0.000 0.000 0.000 8.742 0.000 0.000 0.000 6.009" Properties=species:S:1:pos:R:3 pbc="T T T"
Mg 0.000 0.292 0.000
Mg 0.000 2.641 2.008
Mg 0.000 6.101 5.013
Mg 0.000 8.450 3.005
Mg 2.325 1.565 4.297
Mg 2.325 4.021 0.426
Mg 2.325 4.722 3.430
Mg 2.325 7.178 1.292
Hg 0.000 3.212 4.851
Hg 0.000 5.531 1.847
Au 2.325 1.172 1.490
Au 2.325 7.571 4.494
```

---

Entry 8:
Calculated PXRD pattern
Compound: Mn4Hg3Au
Radiation: a wavelength of 1.5418 Å
Structure: a cell relaxed with PBE
No peak broadening, texture or thermal motion is included.

Principal peaks in the range 2θ from 10° to 90°, by angle:
26.88°, I 39.9
27.30°, I 19.4
38.38°, I 51.4
38.69°, I 100.0
47.74°, I 18.4
55.40°, I 17.6
62.63°, I 8.5
62.85°, I 8.4
63.50°, I 8.4
69.62°, I 35.2
70.23°, I 16.9
82.99°, I 10.9

```
8
Lattice="3.317 0.000 0.000 0.000 3.317 0.000 0.000 0.000 13.065" Properties=species:S:1:pos:R:3 pbc="T T T"
Mn 0.000 0.000 1.521
Mn 0.000 0.000 4.891
Mn 0.000 0.000 8.174
Mn 0.000 0.000 11.544
Hg 1.658 1.658 3.243
Hg 1.658 1.658 6.532
Hg 1.658 1.658 9.821
Au 1.658 1.658 0.000
```